# 1
Simulated powder X-ray diffraction pattern of KCdPtF6 for Cu Kα, 1.54184 Å, from a cell relaxed with PBE.
Neutral-atom scattering factors, no anomalous dispersion.

Structural model:
Cell lengths 5.465, 5.818, 5.825 Å; angles 116.96, 90.57, 90.61 degrees
Element x y z (fractional)
K  0.000  0.000  0.000
Cd  0.500  0.326  0.674
Pt  0.501  0.668  0.331
F  0.270  0.996  0.626
F  0.308  0.654  0.028
F  0.309  0.375  0.341
F  0.692  0.658  0.624
F  0.693  0.972  0.347
F  0.732  0.375  0.003

Principal peaks in the range 2θ from 5° to 70°, in order of rising 2θ:
| Position (°2θ) | d (Å) | Rel. int. |
| --- | --- | --- |
| 16.2 | 5.464 | 100 |
| 17.1 | 5.188 | 37 |
| 23.4 | 3.794 | 42 |
| 23.8 | 3.731 | 39 |
| 24.2 | 3.673 | 41 |
| 30.8 | 2.907 | 40 |
| 35.1 | 2.556 | 39 |
| 45.8 | 1.981 | 30 |

# 2
Simulated powder X-ray diffraction pattern of Mg4CdPb10 for Cu Kα, 1.54184 Å, from a cell relaxed with PBE.
Neutral-atom scattering factors, no anomalous dispersion.

Structural model:
Cell lengths 7.185, 8.612, 8.758 Å; angles 82.60, 66.84, 68.57 degrees
Element x y z (fractional)
Mg  0.100  0.200  0.101
Mg  0.300  0.600  0.300
Mg  0.700  0.400  0.700
Mg  0.900  0.800  0.899
Cd  0.500  0.000  0.500
Pb  0.046  0.110  0.790
Pb  0.150  0.292  0.411
Pb  0.248  0.509  0.989
Pb  0.350  0.689  0.613
Pb  0.450  0.907  0.187
Pb  0.550  0.093  0.813
Pb  0.650  0.311  0.387
Pb  0.752  0.491  0.011
Pb  0.850  0.708  0.589
Pb  0.954  0.890  0.210

Principal peaks in the range 2θ from 5° to 70°, in order of rising 2θ:
| Position (°2θ) | d (Å) | Rel. int. |
| --- | --- | --- |
| 24.6 | 3.623 | 98 |
| 24.8 | 3.586 | 100 |
| 25.0 | 3.563 | 98 |
| 34.4 | 2.605 | 68 |
| 35.1 | 2.559 | 62 |
| 35.2 | 2.549 | 61 |
| 35.4 | 2.539 | 62 |
| 35.5 | 2.532 | 61 |